Rb2CrI2Cl2: simulated X-ray powder pattern (λ = 1.5418 Å (Cu Kα)), based on a crystal structure in Alexandria, relaxed with PBE.
Neutral-atom scattering factors, no anomalous dispersion.

The 10 most intense peaks (2θ = 10–90°), low angle first:
- 19.87°, rel. 21
- 23.72°, rel. 100
- 30.00°, rel. 22
- 30.15°, rel. 35
- 31.13°, rel. 79
- 33.79°, rel. 71
- 45.83°, rel. 35
- 48.53°, rel. 24
- 54.71°, rel. 21
- 58.79°, rel. 23

Structural model:
Unit cell a=17.870 b=7.502 c=7.504 alpha=90.00 beta=90.00 gamma=90.00
Space group Cmce (No. 64)
Inequivalent atoms, fractional coordinates:
Rb (0.126, 0.000, 0.000) (multiplicity 8)
Cr (0.000, 0.000, 0.500) (multiplicity 4)
I (0.157, 0.000, 0.500) (multiplicity 8)
Cl (0.000, 0.226, 0.274) (multiplicity 8)